# Ac2PmUN5
Computed X-ray powder pattern, Cu Kα, 1.54184 Å. Input: a PBE-relaxed structure.

Structure:
abc: 4.1754 4.1754 9.3382
angles: 90.00 90.00 90.00
Positions (direct):
Ac: 0.0000 0.0000 0.2261
Ac: 0.0000 0.0000 0.7739
Pm: 0.5000 0.5000 0.5000
U: 0.5000 0.5000 0.0000
N: 0.0000 0.0000 0.5000
N: 0.0000 0.5000 0.0000
N: 0.5000 0.0000 0.0000
N: 0.5000 0.5000 0.2446
N: 0.5000 0.5000 0.7554

Main lines, low angle first (10 to 90 degrees two-theta):
Position (°2θ)	intensity	hkl
28.68	100	1 0 2
30.27	53	1 1 0
35.99	9	1 0 3
38.56	13	0 0 4
43.34	23	2 0 0
49.79	22	1 1 4
52.80	39	2 1 2
59.39	15	2 0 4
70.62	9	3 0 2
71.45	11	3 1 0
84.26	10	3 1 4
86.61	11	3 2 2